Record 1
For Tl2CuI8N4, a structure optimized by DFT (GGA-PBE) gives the computed powder XRD pattern in this record (λ = 1.5418 Å (Cu Kα)).
Intensities are scaled so that the largest is 100.

Cell and atoms:
abc: 7.663 14.614 11.293
angles: 90.00 110.89 90.00
Space group P2_1/c (No. 14)
Symmetry-distinct sites (fractional):
Tl 0.183 0.187 0.000 x4
Cu 0.500 0.000 0.500 x2
I 0.149 0.632 0.467 x4
I 0.175 0.108 0.450 x4
I 0.204 0.122 0.771 x4
I 0.486 0.652 0.284 x4
N 0.274 0.656 0.853 x4
N 0.359 0.593 0.887 x4

Main lines, most intense first (10° ≤ 2θ ≤ 80°):
hkl 0 4 0, 2θ = 24.32°, intensity 100; hkl 1 1 0, 2θ = 13.77°, intensity 94; hkl 0 3 1, 2θ = 20.08°, intensity 71; hkl 2 0 -2, 2θ = 24.62°, intensity 53; hkl 2 2 -1, 2θ = 26.27°, intensity 43; hkl 3 0 0, 2θ = 37.69°, intensity 38; hkl 1 2 -3, 2θ = 26.86°, intensity 38; hkl 3 0 -4, 2θ = 40.95°, intensity 37; hkl 1 4 -1, 2θ = 27.34°, intensity 37; hkl 0 0 4, 2θ = 33.98°, intensity 34



Record 2
For NdInRh, a structure optimized by DFT (GGA-PBE) gives the computed powder XRD pattern in this record (λ = 1.5418 Å (Cu Kα)).
Intensities are scaled so that the largest is 100.

Cell and atoms:
abc: 7.6353 7.6353 4.0841
angles: 90.00 90.00 120.00
Space group P-62m (No. 189)
Symmetry-distinct sites (fractional):
Nd 0.0000 0.5856 0.0000 x3
In 0.0000 0.2478 0.5000 x3
Rh 0.0000 0.0000 0.0000 x1
Rh 0.3333 0.6667 0.5000 x2

Main lines, most intense first (10° ≤ 2θ ≤ 80°):
hkl 2 0 1, 2θ = 34.92°, intensity 100; hkl 1 1 1, 2θ = 32.09°, intensity 96; hkl 2 1 0, 2θ = 35.93°, intensity 54; hkl 3 2 1, 2θ = 65.66°, intensity 30; hkl 3 0 0, 2θ = 40.95°, intensity 29; hkl 0 0 2, 2θ = 44.36°, intensity 28; hkl 2 1 2, 2θ = 58.35°, intensity 26; hkl 2 1 1, 2θ = 42.40°, intensity 25; hkl 3 1 1, 2θ = 54.88°, intensity 19; hkl 2 0 3, 2θ = 75.55°, intensity 17



Record 3
For BeSiAs2, a structure optimized by DFT (GGA-PBE) gives the computed powder XRD pattern in this record (λ = 1.5418 Å (Cu Kα)).
Intensities are scaled so that the largest is 100.

Cell and atoms:
abc: 5.384 5.384 10.697
angles: 90.00 90.00 90.00
Space group I-42d (No. 122)
Symmetry-distinct sites (fractional):
Be 0.000 0.000 0.000 x4
Si 0.000 0.000 0.500 x4
As 0.231 0.750 0.125 x8

Main lines, most intense first (10° ≤ 2θ ≤ 80°):
hkl 1 1 2, 2θ = 28.78°, intensity 100; hkl 2 0 4, 2θ = 47.95°, intensity 33; hkl 3 1 2, 2θ = 56.74°, intensity 27; hkl 2 0 0, 2θ = 33.28°, intensity 19; hkl 2 2 0, 2θ = 47.78°, intensity 17; hkl 1 1 6, 2θ = 57.04°, intensity 14; hkl 3 1 6, 2θ = 77.53°, intensity 11; hkl 0 0 4, 2θ = 33.51°, intensity 10; hkl 2 2 4, 2θ = 59.62°, intensity 7; hkl 3 3 2, 2θ = 77.27°, intensity 5